(1)
Theoretical XRD peak list of Na4Li5B3O9 for λ = 1.5418 Å (Cu Kα), from a PBE-relaxed structure.

The 8 most intense peaks (2θ = 10–90°), in order of falling intensity:
h k l	d [Å]	2theta	I_rel
4 2 0	2.332	38.60	100
3 1 -1	3.625	24.56	91
4 2 -2	2.314	38.92	66
0 0 4	2.356	38.20	65
3 3 1	1.988	45.64	62
4 0 2	2.245	40.17	51
1 1 2	3.520	25.30	49
2 2 -4	2.048	44.22	48

Structure:
abc: 12.5718 7.4193 9.8737
angles: 90.00 107.37 90.00
Space group C2/c (No. 15)
Asymmetric unit:
Na 0.1226 0.2439 0.0164 (multiplicity 8)
Na 0.2218 0.4446 0.2870 (multiplicity 8)
Li 0.0000 0.2770 0.2500 (multiplicity 4)
Li 0.0450 0.0323 0.6393 (multiplicity 8)
Li 0.0933 0.3887 0.5121 (multiplicity 8)
B 0.0000 0.3959 0.7500 (multiplicity 4)
B 0.1674 0.0838 0.4031 (multiplicity 8)
O 0.0000 0.2096 0.7500 (multiplicity 4)
O 0.0272 0.4944 0.6451 (multiplicity 8)
O 0.0882 0.1201 0.4750 (multiplicity 8)
O 0.1459 0.1447 0.2633 (multiplicity 8)
O 0.2375 0.4862 0.0302 (multiplicity 8)

---

(2)
Theoretical XRD peak list of NaLi2BO3 for λ = 1.5418 Å (Cu Kα), from a PBE-relaxed structure.

The 8 most intense peaks (2θ = 10–90°), in order of falling intensity:
h k l	d [Å]	2theta	I_rel
0 3 2	3.063	29.16	100
1 2 2	2.665	33.62	83
1 4 0	2.570	34.91	64
1 3 -3	2.417	37.21	64
0 2 3	2.770	32.32	52
2 2 1	2.054	44.08	48
1 1 -4	2.322	38.79	45
1 1 2	2.880	31.05	45

Structure:
abc: 4.9781 12.1801 9.6940
angles: 90.00 105.75 90.00
Space group P2_1/c (No. 14)
Asymmetric unit:
Na 0.0264 0.1980 0.3241 (multiplicity 4)
Na 0.3453 0.6148 0.6034 (multiplicity 4)
Li 0.1876 0.1488 0.0595 (multiplicity 4)
Li 0.2282 0.1530 0.6444 (multiplicity 4)
Li 0.2406 0.5038 0.9793 (multiplicity 4)
Li 0.4772 0.6023 0.2022 (multiplicity 4)
B 0.0474 0.0218 0.7807 (multiplicity 4)
B 0.3595 0.7115 0.9237 (multiplicity 4)
O 0.1064 0.7408 0.9471 (multiplicity 4)
O 0.1380 0.5075 0.1600 (multiplicity 4)
O 0.1715 0.1119 0.8613 (multiplicity 4)
O 0.1726 0.0355 0.1924 (multiplicity 4)
O 0.4651 0.7339 0.3222 (multiplicity 4)
O 0.4789 0.1267 0.4970 (multiplicity 4)

---

(3)
Theoretical XRD peak list of Na2LiB5P2O14 for λ = 1.5418 Å (Cu Kα), from a PBE-relaxed structure.

The 8 most intense peaks (2θ = 10–90°), in order of falling intensity:
h k l	d [Å]	2theta	I_rel
0 2 0	4.658	19.05	100
1 0 -1	7.102	12.46	59
1 2 -1	3.895	22.83	55
0 1 1	5.893	15.03	48
1 0 0	7.491	11.81	40
1 2 0	3.956	22.47	40
2 0 -1	4.152	21.40	31
0 3 1	2.872	31.14	29

Structure:
abc: 8.3197 9.3167 8.4507
angles: 90.00 115.80 90.00
Space group P2_1/m (No. 11)
Asymmetric unit:
Na 0.1035 0.2500 0.0350 (multiplicity 2)
Na 0.3345 0.2500 0.4589 (multiplicity 2)
Li 0.4851 0.7500 0.7841 (multiplicity 2)
B 0.0859 0.7500 0.6159 (multiplicity 2)
B 0.1101 0.2500 0.6978 (multiplicity 2)
B 0.2188 0.7500 0.4013 (multiplicity 2)
B 0.2353 0.7500 0.9550 (multiplicity 2)
B 0.4486 0.2500 0.8486 (multiplicity 2)
P 0.3462 0.5588 0.2263 (multiplicity 4)
O 0.0358 0.7500 0.2681 (multiplicity 2)
O 0.0872 0.2500 0.5237 (multiplicity 2)
O 0.0922 0.7500 0.7796 (multiplicity 2)
O 0.2019 0.6189 0.0474 (multiplicity 4)
O 0.2333 0.7500 0.5817 (multiplicity 2)
O 0.2726 0.2500 0.8397 (multiplicity 2)
O 0.3133 0.6188 0.3833 (multiplicity 4)
O 0.3443 0.1029 0.2324 (multiplicity 4)
O 0.4145 0.7500 0.9732 (multiplicity 2)
O 0.4678 0.1187 0.7491 (multiplicity 4)

---

(4)
Theoretical XRD peak list of LiNbB2O6 for λ = 1.5418 Å (Cu Kα), from a PBE-relaxed structure.

The 8 most intense peaks (2θ = 10–90°), in order of falling intensity:
h k l	d [Å]	2theta	I_rel
0 1 2	4.752	18.67	100
1 0 0	4.806	18.46	78
0 2 0	4.554	19.49	37
0 0 4	2.785	32.14	26
1 1 -2	3.928	22.64	18
1 3 -1	2.595	34.56	14
1 2 0	3.306	26.97	14
2 2 -1	2.199	41.04	10

Structure:
abc: 5.0457 9.1077 11.6964
angles: 90.00 107.74 90.00
Space group P2_1/c (No. 14)
Asymmetric unit:
Li 0.0927 0.0383 0.4070 (multiplicity 4)
Nb 0.0025 0.6961 0.3691 (multiplicity 4)
B 0.0121 0.1475 0.8687 (multiplicity 4)
B 0.4424 0.1833 0.6181 (multiplicity 4)
O 0.0726 0.0072 0.8373 (multiplicity 4)
O 0.0736 0.2311 0.3123 (multiplicity 4)
O 0.1108 0.6626 0.5416 (multiplicity 4)
O 0.2031 0.1017 0.5870 (multiplicity 4)
O 0.3009 0.6443 0.8910 (multiplicity 4)
O 0.3999 0.1731 0.1563 (multiplicity 4)

---

(5)
Theoretical XRD peak list of LiNdBO4 for λ = 1.5418 Å (Cu Kα), from a PBE-relaxed structure.

The 8 most intense peaks (2θ = 10–90°), in order of falling intensity:
h k l	d [Å]	2theta	I_rel
1 1 -1	3.520	25.30	100
1 1 0	3.793	23.46	89
0 0 1	4.863	18.24	72
0 2 0	3.358	26.55	67
1 3 -1	1.968	46.12	58
1 0 2	1.895	48.00	34
0 1 2	2.286	39.42	31
1 0 1	2.878	31.07	30

Structure:
abc: 4.9010 6.7154 5.1857
angles: 90.00 110.33 90.00
Space group P2_1 (No. 4)
Asymmetric unit:
Li 0.0118 0.0000 0.4619 (multiplicity 2)
Nd 0.3086 0.2638 0.0870 (multiplicity 2)
B 0.3614 0.7759 0.3043 (multiplicity 2)
O 0.1639 0.9341 0.1431 (multiplicity 2)
O 0.2536 0.7195 0.5241 (multiplicity 2)
O 0.3265 0.3390 0.5853 (multiplicity 2)
O 0.3951 0.6098 0.1314 (multiplicity 2)